RbZrP2SeS6: computed X-ray powder pattern (Cu Kα, 1.54184 Å), based on DFT lattice parameters and positions (PBE).
Neutral-atom scattering factors, no anomalous dispersion.

Peak list (10 most intense, 5° ≤ 2θ ≤ 70°, by intensity)
d_spacing	two_theta	I (rel.)	h k l
3.315	26.9	100.0	2 2 0
6.679	13.3	93.1	0 0 1
2.838	31.5	79.0	2 2 1
2.910	30.7	64.8	2 0 -2
3.964	22.4	63.8	0 2 1
2.859	31.3	46.6	1 3 -1
5.011	17.7	40.7	1 1 -1
2.009	45.1	39.9	2 4 1
4.925	18.0	32.3	0 2 0
2.764	32.4	29.4	0 2 2

Structure:
```
data_RbZrP2SeS6
_cell_length_a 9.079
_cell_length_b 9.850
_cell_length_c 6.766
_cell_angle_alpha 90.00
_cell_angle_beta 99.20
_cell_angle_gamma 90.00
_space_group_name_H-M_alt 'C 1 2 1'
_space_group_IT_number 5
_space_group_name_Hall 'C 2y'
loop_
_atom_site_label
_atom_site_type_symbol
_atom_site_fract_x
_atom_site_fract_y
_atom_site_fract_z
Rb1 Rb 0.000 0.000 0.000
Zr1 Zr 0.000 0.613 0.500
P1 P 0.200 0.260 0.591
Se1 Se 0.000 0.110 0.500
S1 S 0.130 0.428 0.735
S2 S 0.148 0.654 0.209
S3 S 0.205 0.784 0.662
```